(1)
The following is a computed powder diffractogram of NaOsCl6. It was derived from a DFT-relaxed cell (GGA-PBE, OQMD), using Cu Kα (λ = 1.5418 Å).
Neutral-atom scattering factors, no anomalous dispersion.

Peak list (8 most intense, 2θ from 10° to 90°, low angle first)
2θ/deg	Rel. int.
16.28	100.0
16.69	16.3
19.81	20.1
26.01	26.6
32.22	12.2
32.70	23.3
40.77	21.9
48.55	14.6

Structural model:
```
data_NaOsCl6
_chemical_formula_sum 'Na2 Os2 Cl12'
_space_group_name_H-M_alt 'P 42/m'
_space_group_IT_number 84
_cell_length_a 6.338
_cell_length_b 6.338
_cell_length_c 10.624
_cell_angle_alpha 90.00
_cell_angle_beta 90.00
_cell_angle_gamma 90.00
loop_
_space_group_symop_operation_xyz
'x,y,z'
'-x,-y,-z'
'-y,x,z+1/2'
'y,-x,-z+1/2'
'-x,-y,z'
'x,y,-z'
'y,-x,z+1/2'
'-y,x,-z+1/2'
loop_
_atom_site_label
_atom_site_type_symbol
_atom_site_fract_x
_atom_site_fract_y
_atom_site_fract_z
_atom_site_occupancy
Na1 Na 0.000 0.000 0.250 1
Os1 Os 0.000 0.500 0.000 1
Cl1 Cl 0.199 0.209 0.500 1
Cl2 Cl 0.215 0.354 0.154 1
```

---

(2)
The following is a computed powder diffractogram of Na2PdCl4. It was derived from a DFT-relaxed cell (GGA-PBE, OQMD), using Cu Kα (λ = 1.5418 Å).
Neutral-atom scattering factors, no anomalous dispersion.

Peak list (8 most intense, 2θ from 10° to 90°, low angle first)
2θ/deg	Rel. int.
17.67	100.0
29.98	15.5
31.29	58.0
34.18	23.9
36.16	22.3
46.08	13.3
47.02	31.7
57.56	13.6

Structural model:
```
data_Na2PdCl4
_chemical_formula_sum 'Na8 Pd4 Cl16'
_space_group_name_H-M_alt 'C m c e'
_space_group_IT_number 64
_space_group_name_Hall '-C 2ac 2'
_cell_length_a 10.492
_cell_length_b 8.076
_cell_length_c 8.096
_cell_angle_alpha 90.00
_cell_angle_beta 90.00
_cell_angle_gamma 90.00
loop_
_atom_site_label
_atom_site_type_symbol
_atom_site_fract_x
_atom_site_fract_y
_atom_site_fract_z
_atom_site_occupancy
Na1 Na 0.250 0.239 0.250 1
Pd1 Pd 0.000 0.000 0.000 1
Cl1 Cl 0.000 0.192 0.785 1
Cl2 Cl 0.224 0.000 0.000 1
```

---

(3)
The following is a computed powder diffractogram of Na2PtCl6. It was derived from a DFT-relaxed cell (GGA-PBE, OQMD), using Cu Kα (λ = 1.5418 Å).
Neutral-atom scattering factors, no anomalous dispersion.

Peak list (8 most intense, 2θ from 10° to 90°, low angle first)
2θ/deg	Rel. int.
16.02	100.0
18.31	20.6
18.62	30.0
26.45	17.7
30.70	17.9
31.07	39.7
37.75	18.3
40.96	16.4

Structural model:
```
data_Na2PtCl6
_chemical_formula_sum 'Na4 Pt2 Cl12'
_space_group_name_H-M_alt 'I 4/m'
_space_group_IT_number 87
_space_group_name_Hall '-I 4'
_cell_length_a 6.740
_cell_length_b 6.740
_cell_length_c 9.688
_cell_angle_alpha 90.00
_cell_angle_beta 90.00
_cell_angle_gamma 90.00
loop_
_atom_site_label
_atom_site_type_symbol
_atom_site_fract_x
_atom_site_fract_y
_atom_site_fract_z
_atom_site_occupancy
Na1 Na 0.000 0.500 0.250 1
Pt1 Pt 0.000 0.000 0.000 1
Cl1 Cl 0.000 0.000 0.242 1
Cl2 Cl 0.165 0.306 0.000 1
```

---

(4)
The following is a computed powder diffractogram of Na3ZrCl6. It was derived from a DFT-relaxed cell (GGA-PBE, OQMD), using Cu Kα (λ = 1.5418 Å).
Neutral-atom scattering factors, no anomalous dispersion.

Peak list (8 most intense, 2θ from 10° to 90°, low angle first)
2θ/deg	Rel. int.
16.46	97.7
26.43	28.8
29.64	100.0
37.21	29.4
39.30	73.3
45.36	46.3
45.79	25.6
52.05	21.8

Structural model:
```
data_Na3ZrCl6
_chemical_formula_sum 'Na6 Zr2 Cl12'
_space_group_name_H-M_alt 'P -3 1 c'
_space_group_IT_number 163
_space_group_name_Hall '-P 3 2c'
_cell_length_a 6.9264
_cell_length_b 6.9264
_cell_length_c 12.2340
_cell_angle_alpha 90.00
_cell_angle_beta 90.00
_cell_angle_gamma 120.00
loop_
_atom_site_label
_atom_site_type_symbol
_atom_site_fract_x
_atom_site_fract_y
_atom_site_fract_z
_atom_site_occupancy
Na1 Na 0.0000 0.0000 0.2500 1
Na2 Na 0.3333 0.6667 0.0382 1
Zr1 Zr 0.3333 0.6667 0.7500 1
Cl1 Cl 0.0416 0.3578 0.6278 1
```

---

(5)
The following is a computed powder diffractogram of NbCl4. It was derived from a DFT-relaxed cell (GGA-PBE, OQMD), using Cu Kα (λ = 1.5418 Å).
Neutral-atom scattering factors, no anomalous dispersion.

Peak list (8 most intense, 2θ from 10° to 90°, low angle first)
2θ/deg	Rel. int.
13.87	75.0
16.04	100.0
25.47	17.7
30.73	30.8
33.10	44.5
40.81	25.3
42.03	28.8
50.50	18.3

Structural model:
```
data_NbCl4
_chemical_formula_sum 'Nb8 Cl32'
_space_group_name_H-M_alt 'C m c 21'
_space_group_IT_number 36
_cell_length_a 6.844
_cell_length_b 12.259
_cell_length_c 12.772
_cell_angle_alpha 90.00
_cell_angle_beta 90.00
_cell_angle_gamma 90.00
loop_
_space_group_symop_operation_xyz
'x,y,z'
'-x,-y,z+1/2'
'-x,y,z'
'x,-y,z+1/2'
'x+1/2,y+1/2,z'
'-x+1/2,-y+1/2,z+1/2'
'-x+1/2,y+1/2,z'
'x+1/2,-y+1/2,z+1/2'
loop_
_atom_site_label
_atom_site_type_symbol
_atom_site_fract_x
_atom_site_fract_y
_atom_site_fract_z
_atom_site_occupancy
Nb1 Nb 0.221 0.124 0.000 1
Cl1 Cl 0.000 0.006 0.585 1
Cl2 Cl 0.000 0.253 0.915 1
Cl3 Cl 0.000 0.263 0.426 1
Cl4 Cl 0.000 0.489 0.574 1
Cl5 Cl 0.245 0.017 0.850 1
Cl6 Cl 0.245 0.230 0.150 1
```

---

(6)
The following is a computed powder diffractogram of Nb3Cl5O2. It was derived from a DFT-relaxed cell (GGA-PBE, OQMD), using Cu Kα (λ = 1.5418 Å).
Neutral-atom scattering factors, no anomalous dispersion.

Peak list (8 most intense, 2θ from 10° to 90°, low angle first)
2θ/deg	Rel. int.
12.09	100.0
12.41	26.9
14.48	16.1
17.07	19.8
24.98	32.3
36.25	69.0
36.71	20.6
58.59	18.7

Structural model:
```
data_Nb3Cl5O2
_chemical_formula_sum 'Nb12 Cl20 O8'
_space_group_name_H-M_alt 'P n n m'
_space_group_IT_number 58
_cell_length_a 8.165
_cell_length_b 14.637
_cell_length_c 6.735
_cell_angle_alpha 90.00
_cell_angle_beta 90.00
_cell_angle_gamma 90.00
loop_
_space_group_symop_operation_xyz
'x,y,z'
'-x,-y,-z'
'-x,-y,z'
'x,y,-z'
'x+1/2,-y+1/2,-z+1/2'
'-x+1/2,y+1/2,z+1/2'
'-x+1/2,y+1/2,-z+1/2'
'x+1/2,-y+1/2,z+1/2'
loop_
_atom_site_label
_atom_site_type_symbol
_atom_site_fract_x
_atom_site_fract_y
_atom_site_fract_z
_atom_site_occupancy
Nb1 Nb 0.027 0.135 0.000 1
Nb2 Nb 0.240 0.240 0.211 1
Cl1 Cl 0.000 0.000 0.241 1
Cl2 Cl 0.174 0.611 0.500 1
Cl3 Cl 0.206 0.359 0.500 1
Cl4 Cl 0.209 0.374 0.000 1
Cl5 Cl 0.225 0.629 0.000 1
O1 O 0.009 0.774 0.222 1
```

---

(7)
The following is a computed powder diffractogram of NbPCl8O. It was derived from a DFT-relaxed cell (GGA-PBE, OQMD), using Cu Kα (λ = 1.5418 Å).
Neutral-atom scattering factors, no anomalous dispersion.

Peak list (8 most intense, 2θ from 10° to 90°, low angle first)
2θ/deg	Rel. int.
15.01	100.0
15.31	47.9
18.64	24.7
20.09	25.0
21.29	43.1
22.77	43.8
33.18	38.0
34.11	28.1

Structural model:
```
data_NbPCl8O
_chemical_formula_sum 'Nb4 P4 Cl32 O4'
_space_group_name_H-M_alt 'P n m a'
_space_group_IT_number 62
_cell_length_a 16.704
_cell_length_b 8.344
_cell_length_c 9.168
_cell_angle_alpha 90.00
_cell_angle_beta 90.00
_cell_angle_gamma 90.00
loop_
_space_group_symop_operation_xyz
'x,y,z'
'-x,-y,-z'
'-x+1/2,-y,z+1/2'
'x+1/2,y,-z+1/2'
'x+1/2,-y+1/2,-z+1/2'
'-x+1/2,y+1/2,z+1/2'
'-x,y+1/2,-z'
'x,-y+1/2,z'
loop_
_atom_site_label
_atom_site_type_symbol
_atom_site_fract_x
_atom_site_fract_y
_atom_site_fract_z
_atom_site_occupancy
Nb1 Nb 0.147 0.250 0.085 1
P1 P 0.076 0.250 0.714 1
Cl1 Cl 0.023 0.250 0.206 1
Cl2 Cl 0.035 0.750 0.364 1
Cl3 Cl 0.130 0.060 0.629 1
Cl4 Cl 0.139 0.529 0.058 1
Cl5 Cl 0.224 0.250 0.292 1
Cl6 Cl 0.239 0.750 0.427 1
O1 O 0.075 0.250 0.877 1
```

---

(8)
The following is a computed powder diffractogram of Pr2Nb2Cl2O7. It was derived from a DFT-relaxed cell (GGA-PBE, OQMD), using Cu Kα (λ = 1.5418 Å).
Neutral-atom scattering factors, no anomalous dispersion.

Peak list (8 most intense, 2θ from 10° to 90°, low angle first)
2θ/deg	Rel. int.
13.86	51.1
23.47	42.3
25.88	29.7
28.57	38.7
29.20	64.6
29.57	100.0
34.59	52.9
45.85	32.4

Structural model:
```
data_Pr2Nb2Cl2O7
_chemical_formula_sum 'Pr4 Nb4 Cl4 O14'
_space_group_name_H-M_alt 'C 1 2/m 1'
_space_group_IT_number 12
_cell_length_a 15.347
_cell_length_b 3.958
_cell_length_c 6.991
_cell_angle_alpha 90.00
_cell_angle_beta 113.91
_cell_angle_gamma 90.00
loop_
_space_group_symop_operation_xyz
'x,y,z'
'-x,-y,-z'
'-x,y,-z'
'x,-y,z'
'x+1/2,y+1/2,z'
'-x+1/2,-y+1/2,-z'
'-x+1/2,y+1/2,-z'
'x+1/2,-y+1/2,z'
loop_
_atom_site_label
_atom_site_type_symbol
_atom_site_fract_x
_atom_site_fract_y
_atom_site_fract_z
_atom_site_occupancy
Pr1 Pr 0.192 0.000 0.167 1
Nb1 Nb 0.034 0.500 0.796 1
Cl1 Cl 0.177 0.000 0.566 1
O1 O 0.000 0.500 0.500 1
O2 O 0.044 0.000 0.837 1
O3 O 0.082 0.500 0.155 1
O4 O 0.176 0.500 0.932 1
```